MgPaPtRh: calculated powder XRD pattern (CuKα), based on a crystal structure in Alexandria, relaxed with GGA-PBE.
Lines closer than 0.1° are merged.

Cell and atoms:
Cell: 4.523 4.523 12.970 Å, 90.00 90.00 120.00°
Sites, in units of the cell vectors:
Mg1 0.000 0.000 0.000
Mg2 0.333 0.667 0.667
Mg3 0.667 0.333 0.333
Pa1 0.000 0.000 0.501
Pa2 0.333 0.667 0.168
Pa3 0.667 0.333 0.835
Pt1 0.000 0.000 0.728
Pt2 0.333 0.667 0.394
Pt3 0.667 0.333 0.061
Rh1 0.000 0.000 0.274
Rh2 0.333 0.667 0.940
Rh3 0.667 0.333 0.607

Main lines, by intensity (2θ from 10° to 90°):
- 2θ = 35.96°, intensity 100, hkl 1 0 4
- 2θ = 39.87°, intensity 90, hkl 1 1 0
- 2θ = 23.73°, intensity 74, hkl 1 0 1
- 2θ = 41.77°, intensity 43, hkl 0 1 5
- 2θ = 54.76°, intensity 31, hkl 0 2 4
- 2θ = 69.85°, intensity 30, hkl 2 1 4
- 2θ = 78.74°, intensity 20, hkl 1 1 9
- 2θ = 59.11°, intensity 17, hkl 2 0 5
- 2θ = 73.68°, intensity 17, hkl 1 2 5
- 2θ = 72.38°, intensity 16, hkl 3 0 0